1.
Simulated XRD peak list
Compound: Nb3FeS6
Radiation: CuKα
Structure: a cell relaxed with PBE

Largest 10 diffraction maxima, by intensity, 15 to 90 degrees two-theta:
(hkl), 2θ (°), I/Imax
1 1 4, 44.15, 100
1 1 2, 34.65, 61
0 0 2, 15.21, 53
1 1 0, 30.95, 43
3 0 0, 55.05, 38
2 2 4, 73.12, 21
1 1 1, 31.91, 17
3 0 8, 89.29, 17
1 1 3, 38.85, 15
1 0 1, 19.30, 12

Crystal structure
```
data_Nb3FeS6
_chemical_formula_sum 'Nb6 Fe2 S12'
_space_group_name_H-M_alt 'P 63 2 2'
_space_group_IT_number 182
_space_group_name_Hall 'P 6c 2c'
_cell_length_a 5.7789
_cell_length_b 5.7789
_cell_length_c 11.6494
_cell_angle_alpha 90.00
_cell_angle_beta 90.00
_cell_angle_gamma 120.00
loop_
_atom_site_label
_atom_site_type_symbol
_atom_site_fract_x
_atom_site_fract_y
_atom_site_fract_z
Nb1 Nb 0.0000 0.0000 0.0000
Nb2 Nb 0.3333 0.6667 0.0051
Fe1 Fe 0.3333 0.6667 0.7500
S1 S 0.0080 0.3390 0.6359
```

=====

2.
Simulated XRD peak list
Compound: Ce2Se3O9
Radiation: CuKα
Structure: a cell relaxed with PBE

Largest 10 diffraction maxima, by intensity, 15 to 90 degrees two-theta:
(hkl), 2θ (°), I/Imax
2 3 1, 30.84, 100
2 3 0, 28.08, 55
1 1 2, 27.91, 54
2 2 0, 24.36, 47
4 0 1, 44.55, 42
0 5 1, 33.67, 42
1 4 1, 29.81, 31
1 0 2, 27.19, 31
1 3 3, 43.95, 25
0 0 2, 25.05, 24

Crystal structure
```
data_Ce2Se3O9
_chemical_formula_sum 'Ce8 Se12 O36'
_space_group_name_H-M_alt 'P n m a'
_space_group_IT_number 62
_space_group_name_Hall '-P 2ac 2n'
_cell_length_a 8.491
_cell_length_b 14.352
_cell_length_c 7.110
_cell_angle_alpha 90.00
_cell_angle_beta 90.00
_cell_angle_gamma 90.00
loop_
_atom_site_label
_atom_site_type_symbol
_atom_site_fract_x
_atom_site_fract_y
_atom_site_fract_z
Ce1 Ce 0.198 0.063 0.180
Se1 Se 0.046 0.750 0.909
Se2 Se 0.047 0.126 0.679
O1 O 0.058 0.654 0.760
O2 O 0.073 0.040 0.852
O3 O 0.121 0.577 0.411
O4 O 0.156 0.250 0.065
O5 O 0.200 0.097 0.530
```